For In4Hg8Bi3, a GGA-PBE-relaxed structure gives the theoretical XRD peak list in this record (a wavelength of 1.5418 Å).
Neutral-atom scattering factors, no anomalous dispersion.

Structural model:
```
data_In4Hg8Bi3
_chemical_formula_sum 'In4 Hg8 Bi3'
_symmetry_space_group_name_H-M 'P -4 m 2'
_symmetry_Int_Tables_number 115
_symmetry_space_group_name_Hall 'P -4 -2'
_cell_length_a 4.749
_cell_length_b 4.749
_cell_length_c 19.052
_cell_angle_alpha 90.00
_cell_angle_beta 90.00
_cell_angle_gamma 90.00
loop_
_atom_site_label
_atom_site_type_symbol
_atom_site_fract_x
_atom_site_fract_y
_atom_site_fract_z
In1 In 0.000 0.500 0.116
In2 In 0.000 0.500 0.640
Hg1 Hg 0.000 0.000 0.237
Hg2 Hg 0.000 0.500 0.360
Hg3 Hg 0.000 0.500 0.889
Hg4 Hg 0.500 0.500 0.235
Bi1 Bi 0.000 0.000 0.000
Bi2 Bi 0.000 0.000 0.500
Bi3 Bi 0.500 0.500 0.500
```

Largest 10 diffraction maxima, sorted by position, 5 to 70 degrees two-theta:
- 20.9°, I = 6, (1 0 2)
- 30.1°, I = 9, (1 1 3)
- 32.6°, I = 100, (1 1 4)
- 37.8°, I = 13, (0 0 8)
- 37.9°, I = 37, (2 0 0)
- 51.0°, I = 6, (2 0 7)
- 54.6°, I = 30, (2 2 0)
- 60.1°, I = 6, (1 1 11)
- 65.1°, I = 28, (3 1 4)
- 68.4°, I = 9, (2 2 8)

=====

For Dy2ThRh3, a GGA-PBE-relaxed structure gives the theoretical XRD peak list in this record (a wavelength of 1.5418 Å).
Neutral-atom scattering factors, no anomalous dispersion.

Structural model:
```
data_Dy2ThRh3
_chemical_formula_sum 'Dy8 Th4 Rh12'
_symmetry_space_group_name_H-M 'C 1 2/c 1'
_symmetry_Int_Tables_number 15
_symmetry_space_group_name_Hall '-C 2yc'
_cell_length_a 13.956
_cell_length_b 5.611
_cell_length_c 6.888
_cell_angle_alpha 90.00
_cell_angle_beta 103.23
_cell_angle_gamma 90.00
loop_
_atom_site_label
_atom_site_type_symbol
_atom_site_fract_x
_atom_site_fract_y
_atom_site_fract_z
Dy1 Dy 0.178 0.104 0.142
Th1 Th 0.000 0.377 0.750
Rh1 Rh 0.000 0.105 0.250
Rh2 Rh 0.159 0.399 0.509
```

Largest 10 diffraction maxima, sorted by position, 5 to 70 degrees two-theta:
- 30.7°, I = 25, (3 1 1)
- 32.4°, I = 60, (2 0 2)
- 33.0°, I = 100, (4 0 -2)
- 34.7°, I = 82, (0 2 1)
- 38.3°, I = 48, (2 2 1)
- 39.8°, I = 57, (6 0 0)
- 40.3°, I = 20, (3 1 2)
- 42.0°, I = 53, (4 2 -1)
- 51.2°, I = 24, (6 2 -1)
- 56.3°, I = 20, (6 2 1)

=====

For Zr3Sb, a GGA-PBE-relaxed structure gives the theoretical XRD peak list in this record (a wavelength of 1.5418 Å).
Neutral-atom scattering factors, no anomalous dispersion.

Structural model:
```
data_Zr3Sb
_chemical_formula_sum 'Zr12 Sb4'
_symmetry_space_group_name_H-M 'P n m a'
_symmetry_Int_Tables_number 62
_symmetry_space_group_name_Hall '-P 2ac 2n'
_cell_length_a 6.857
_cell_length_b 9.226
_cell_length_c 5.890
_cell_angle_alpha 90.00
_cell_angle_beta 90.00
_cell_angle_gamma 90.00
loop_
_atom_site_label
_atom_site_type_symbol
_atom_site_fract_x
_atom_site_fract_y
_atom_site_fract_z
Zr1 Zr 0.018 0.250 0.127
Zr2 Zr 0.207 0.031 0.621
Sb1 Sb 0.097 0.750 0.395
```

Largest 10 diffraction maxima, sorted by position, 5 to 70 degrees two-theta:
- 32.5°, I = 100, (2 2 0)
- 34.5°, I = 84, (1 1 2)
- 35.4°, I = 36, (1 3 1)
- 36.0°, I = 40, (2 2 1)
- 38.6°, I = 78, (1 2 2)
- 39.1°, I = 46, (0 4 0)
- 42.4°, I = 21, (3 0 1)
- 43.6°, I = 19, (3 1 1)
- 44.6°, I = 27, (1 3 2)
- 60.8°, I = 21, (1 5 2)

=====

For Dy4SnSb2, a GGA-PBE-relaxed structure gives the theoretical XRD peak list in this record (a wavelength of 1.5418 Å).
Neutral-atom scattering factors, no anomalous dispersion.

Structural model:
```
data_Dy4SnSb2
_chemical_formula_sum 'Dy16 Sn4 Sb8'
_symmetry_space_group_name_H-M 'I 41/a m d'
_symmetry_Int_Tables_number 141
_cell_length_a 9.645
_cell_length_b 9.645
_cell_length_c 9.446
_cell_angle_alpha 90.00
_cell_angle_beta 90.00
_cell_angle_gamma 90.00
loop_
_symmetry_equiv_pos_as_xyz
'x,y,z'
'-x,-y,-z'
'-y+1/4,x+3/4,z+1/4'
'y+1/4,-x+3/4,-z+1/4'
'-x+1/2,-y,z+1/2'
'x+1/2,y,-z+1/2'
'y+1/4,-x+1/4,z+3/4'
'-y+1/4,x+1/4,-z+3/4'
'x,-y,-z'
'-x,y,z'
'-y+1/4,-x+1/4,-z+3/4'
'y+1/4,x+1/4,z+3/4'
'-x+1/2,y,-z+1/2'
'x+1/2,-y,z+1/2'
'y+1/4,x+3/4,-z+1/4'
'-y+1/4,-x+3/4,z+1/4'
'x+1/2,y+1/2,z+1/2'
'-x+1/2,-y+1/2,-z+1/2'
'-y+3/4,x+1/4,z+3/4'
'y+3/4,-x+1/4,-z+3/4'
'-x,-y+1/2,z'
'x,y+1/2,-z'
'y+3/4,-x+3/4,z+1/4'
'-y+3/4,x+3/4,-z+1/4'
'x+1/2,-y+1/2,-z+1/2'
'-x+1/2,y+1/2,z+1/2'
'-y+3/4,-x+3/4,-z+1/4'
'y+3/4,x+3/4,z+1/4'
'-x,y+1/2,-z'
'x,-y+1/2,z'
'y+3/4,x+1/4,-z+3/4'
'-y+3/4,-x+1/4,z+3/4'
loop_
_atom_site_label
_atom_site_type_symbol
_atom_site_fract_x
_atom_site_fract_y
_atom_site_fract_z
Dy1 Dy 0.000 0.062 0.189
Sn1 Sn 0.000 0.250 0.875
Sb1 Sb 0.000 0.000 0.500
```

Largest 10 diffraction maxima, sorted by position, 5 to 70 degrees two-theta:
- 18.4°, I = 25, (2 0 0)
- 26.1°, I = 77, (2 2 0)
- 29.3°, I = 44, (3 0 1)
- 29.9°, I = 100, (1 0 3)
- 34.9°, I = 69, (3 2 1)
- 35.0°, I = 25, (3 1 2)
- 37.3°, I = 43, (4 0 0)
- 44.2°, I = 32, (3 3 2)
- 44.4°, I = 30, (3 2 3)
- 48.8°, I = 30, (3 1 4)

=====

For Ga4Tc, a GGA-PBE-relaxed structure gives the theoretical XRD peak list in this record (a wavelength of 1.5418 Å).
Neutral-atom scattering factors, no anomalous dispersion.

Structural model:
```
data_Ga4Tc
_chemical_formula_sum 'Ga8 Tc2'
_symmetry_space_group_name_H-M 'I m -3 m'
_symmetry_Int_Tables_number 229
_symmetry_space_group_name_Hall '-I 4 2 3'
_cell_length_a 5.785
_cell_length_b 5.785
_cell_length_c 5.785
_cell_angle_alpha 90.00
_cell_angle_beta 90.00
_cell_angle_gamma 90.00
loop_
_atom_site_label
_atom_site_type_symbol
_atom_site_fract_x
_atom_site_fract_y
_atom_site_fract_z
Ga1 Ga 0.250 0.250 0.250
Tc1 Tc 0.000 0.000 0.000
```

Largest 9 diffraction maxima, sorted by position, 5 to 70 degrees two-theta:
- 21.7°, I = 44, (1 1 0)
- 30.9°, I = 33, (2 0 0)
- 38.1°, I = 20, (2 1 1)
- 44.3°, I = 100, (2 2 0)
- 49.8°, I = 9, (3 1 0)
- 55.0°, I = 8, (2 2 2)
- 59.8°, I = 10, (3 2 1)
- 64.4°, I = 16, (4 0 0)
- 68.9°, I = 5, (4 1 1)

=====

For PaTe6Au, a GGA-PBE-relaxed structure gives the theoretical XRD peak list in this record (a wavelength of 1.5418 Å).
Neutral-atom scattering factors, no anomalous dispersion.

Structural model:
```
data_PaTe6Au
_chemical_formula_sum 'Pa2 Te12 Au2'
_symmetry_space_group_name_H-M 'C 1 2/m 1'
_symmetry_Int_Tables_number 12
_symmetry_space_group_name_Hall '-C 2y'
_cell_length_a 7.882
_cell_length_b 8.765
_cell_length_c 7.657
_cell_angle_alpha 90.00
_cell_angle_beta 102.52
_cell_angle_gamma 90.00
loop_
_atom_site_label
_atom_site_type_symbol
_atom_site_fract_x
_atom_site_fract_y
_atom_site_fract_z
Pa1 Pa 0.000 0.000 0.000
Te1 Te 0.153 0.321 0.798
Te2 Te 0.173 0.000 0.689
Au1 Au 0.000 0.500 0.500
```

Largest 10 diffraction maxima, sorted by position, 5 to 70 degrees two-theta:
- 17.8°, I = 34, (1 1 -1)
- 20.9°, I = 36, (1 1 1)
- 23.6°, I = 41, (2 0 -1)
- 28.3°, I = 27, (2 0 1)
- 31.5°, I = 23, (0 2 2)
- 35.9°, I = 100, (1 3 1)
- 36.0°, I = 37, (2 2 -2)
- 36.9°, I = 23, (1 1 -3)
- 37.0°, I = 19, (2 0 2)
- 41.7°, I = 29, (1 1 3)